The following is a computed X-ray diffraction stick pattern of BaDySnSbO6. It was derived from a DFT-relaxed cell (PBE, Alexandria), using Cu Kα (λ = 1.5418 Å).
Neutral-atom scattering factors, no anomalous dispersion.

Structural model:
```
data_BaDySnSbO6
_chemical_formula_sum 'Ba2 Dy2 Sn2 Sb2 O12'
_space_group_name_H-M_alt 'P 1'
_space_group_IT_number 1
_cell_length_a 5.9320
_cell_length_b 5.9320
_cell_length_c 8.5170
_cell_angle_alpha 90.00
_cell_angle_beta 90.00
_cell_angle_gamma 90.00
loop_
_space_group_symop_operation_xyz
'x,y,z'
loop_
_atom_site_label
_atom_site_type_symbol
_atom_site_fract_x
_atom_site_fract_y
_atom_site_fract_z
_atom_site_occupancy
Ba1 Ba 0.0000 0.5000 0.2500 1
Ba2 Ba 0.5000 0.0000 0.7500 1
Dy1 Dy 0.0000 0.0000 0.0000 1
Dy2 Dy 0.5000 0.5000 0.5000 1
Sn1 Sn 0.0000 0.5000 0.7500 1
Sn2 Sn 0.5000 0.0000 0.2500 1
Sb1 Sb 0.0000 0.0000 0.5000 1
Sb2 Sb 0.5000 0.5000 0.0000 1
O1 O 0.0000 0.0000 0.2630 1
O2 O 0.0000 0.0000 0.7370 1
O3 O 0.1914 0.2802 0.5113 1
O4 O 0.2198 0.3086 0.9887 1
O5 O 0.2802 0.8086 0.4887 1
O6 O 0.3086 0.7802 0.0113 1
O7 O 0.5000 0.5000 0.2370 1
O8 O 0.5000 0.5000 0.7630 1
O9 O 0.6914 0.2198 0.0113 1
O10 O 0.7198 0.1914 0.4887 1
O11 O 0.7802 0.6914 0.9887 1
O12 O 0.8086 0.7198 0.5113 1
```

Main lines, in order of rising 2θ (2θ = 10–90°):
- 2θ = 29.9°, I = 100
- 2θ = 30.1°, I = 52
- 2θ = 42.5°, I = 15
- 2θ = 43.1°, I = 28
- 2θ = 52.9°, I = 22
- 2θ = 53.4°, I = 43
- 2θ = 62.1°, I = 18
- 2θ = 85.9°, I = 12
- 2θ = 86.4°, I = 13
- 2θ = 86.8°, I = 11

***

The following is a computed X-ray diffraction stick pattern of TcH5. It was derived from a DFT-relaxed cell (PBE, Alexandria), using Cu Kα (λ = 1.5418 Å).
Neutral-atom scattering factors, no anomalous dispersion.

Structural model:
```
data_TcH5
_chemical_formula_sum 'Tc1 H5'
_space_group_name_H-M_alt 'P 1'
_space_group_IT_number 1
_cell_length_a 4.8222
_cell_length_b 4.8222
_cell_length_c 2.8359
_cell_angle_alpha 90.00
_cell_angle_beta 90.00
_cell_angle_gamma 145.90
loop_
_space_group_symop_operation_xyz
'x,y,z'
loop_
_atom_site_label
_atom_site_type_symbol
_atom_site_fract_x
_atom_site_fract_y
_atom_site_fract_z
_atom_site_occupancy
Tc1 Tc 0.0000 0.0000 0.0000 1
H1 H 0.1275 0.8725 0.5000 1
H2 H 0.3721 0.6279 0.0000 1
H3 H 0.5000 0.5000 0.5000 1
H4 H 0.6279 0.3721 0.0000 1
H5 H 0.8725 0.1275 0.5000 1
```

Main lines, in order of rising 2θ (2θ = 10–90°):
- 2θ = 19.3°, I = 100
- 2θ = 31.5°, I = 27
- 2θ = 33.1°, I = 47
- 2θ = 37.2°, I = 34
- 2θ = 39.1°, I = 14
- 2θ = 43.5°, I = 22
- 2θ = 46.4°, I = 36
- 2θ = 51.1°, I = 14
- 2θ = 54.7°, I = 24
- 2θ = 69.3°, I = 17

***

The following is a computed X-ray diffraction stick pattern of Bi5Te2O12. It was derived from a DFT-relaxed cell (PBE, Alexandria), using Cu Kα (λ = 1.5418 Å).
Neutral-atom scattering factors, no anomalous dispersion.

Structural model:
```
data_Bi5Te2O12
_chemical_formula_sum 'Bi5 Te2 O12'
_space_group_name_H-M_alt 'P 1'
_space_group_IT_number 1
_cell_length_a 7.3360
_cell_length_b 7.3360
_cell_length_c 7.9170
_cell_angle_alpha 107.29
_cell_angle_beta 107.29
_cell_angle_gamma 50.32
loop_
_space_group_symop_operation_xyz
'x,y,z'
loop_
_atom_site_label
_atom_site_type_symbol
_atom_site_fract_x
_atom_site_fract_y
_atom_site_fract_z
_atom_site_occupancy
Bi1 Bi 0.0000 0.0000 0.0000 1
Bi2 Bi 0.2901 0.2901 0.1480 1
Bi3 Bi 0.3060 0.3060 0.6884 1
Bi4 Bi 0.6940 0.6940 0.3116 1
Bi5 Bi 0.7099 0.7099 0.8520 1
Te1 Te 0.2407 0.7593 0.5000 1
Te2 Te 0.7593 0.2407 0.5000 1
O1 O 0.0049 0.0049 0.2958 1
O2 O 0.0961 0.6011 0.9150 1
O3 O 0.0981 0.5680 0.3951 1
O4 O 0.3989 0.9039 0.0850 1
O5 O 0.4320 0.9019 0.6049 1
O6 O 0.4963 0.4963 0.6686 1
O7 O 0.5037 0.5037 0.3314 1
O8 O 0.5680 0.0981 0.3951 1
O9 O 0.6011 0.0961 0.9150 1
O10 O 0.9019 0.4320 0.6049 1
O11 O 0.9039 0.3989 0.0850 1
O12 O 0.9951 0.9951 0.7042 1
```

Main lines, in order of rising 2θ (2θ = 10–90°):
- 2θ = 25.6°, I = 85
- 2θ = 26.7°, I = 100
- 2θ = 28.5°, I = 23
- 2θ = 28.6°, I = 22
- 2θ = 30.0°, I = 24
- 2θ = 30.6°, I = 29
- 2θ = 31.6°, I = 32
- 2θ = 32.1°, I = 23
- 2θ = 51.6°, I = 20
- 2θ = 54.0°, I = 22

***

The following is a computed X-ray diffraction stick pattern of Na2Cd4In3. It was derived from a DFT-relaxed cell (PBE, Alexandria), using Cu Kα (λ = 1.5418 Å).
Neutral-atom scattering factors, no anomalous dispersion.

Structural model:
```
data_Na2Cd4In3
_chemical_formula_sum 'Na2 Cd4 In3'
_space_group_name_H-M_alt 'P 1'
_space_group_IT_number 1
_cell_length_a 4.7480
_cell_length_b 5.5162
_cell_length_c 9.7070
_cell_angle_alpha 76.44
_cell_angle_beta 89.87
_cell_angle_gamma 64.67
loop_
_space_group_symop_operation_xyz
'x,y,z'
loop_
_atom_site_label
_atom_site_type_symbol
_atom_site_fract_x
_atom_site_fract_y
_atom_site_fract_z
_atom_site_occupancy
Na1 Na 0.1676 0.1657 0.2211 1
Na2 Na 0.8324 0.8343 0.7789 1
Cd1 Cd 0.1639 0.1680 0.8899 1
Cd2 Cd 0.4953 0.5097 0.6650 1
Cd3 Cd 0.5047 0.4903 0.3350 1
Cd4 Cd 0.8361 0.8320 0.1101 1
In1 In 0.1651 0.1718 0.5664 1
In2 In 0.5000 0.5000 0.0000 1
In3 In 0.8349 0.8282 0.4336 1
```

Main lines, in order of rising 2θ (2θ = 10–90°):
- 2θ = 21.9°, I = 14
- 2θ = 33.6°, I = 100
- 2θ = 33.6°, I = 50
- 2θ = 33.8°, I = 50
- 2θ = 37.9°, I = 36
- 2θ = 38.2°, I = 37
- 2θ = 41.0°, I = 29
- 2θ = 57.1°, I = 20
- 2θ = 65.7°, I = 13
- 2θ = 65.9°, I = 13

***

The following is a computed X-ray diffraction stick pattern of LiPmTeRh. It was derived from a DFT-relaxed cell (PBE, Alexandria), using Cu Kα (λ = 1.5418 Å).
Neutral-atom scattering factors, no anomalous dispersion.

Structural model:
```
data_LiPmTeRh
_chemical_formula_sum 'Li1 Pm1 Te1 Rh1'
_space_group_name_H-M_alt 'P 1'
_space_group_IT_number 1
_cell_length_a 4.8313
_cell_length_b 4.8313
_cell_length_c 4.8313
_cell_angle_alpha 60.00
_cell_angle_beta 60.00
_cell_angle_gamma 60.00
loop_
_space_group_symop_operation_xyz
'x,y,z'
loop_
_atom_site_label
_atom_site_type_symbol
_atom_site_fract_x
_atom_site_fract_y
_atom_site_fract_z
_atom_site_occupancy
Li1 Li 0.0000 0.0000 0.0000 1
Pm1 Pm 0.7500 0.7500 0.7500 1
Te1 Te 0.2500 0.2500 0.2500 1
Rh1 Rh 0.5000 0.5000 0.5000 1
```

Main lines, in order of rising 2θ (2θ = 10–90°):
- 2θ = 22.5°, I = 18
- 2θ = 26.1°, I = 22
- 2θ = 37.2°, I = 100
- 2θ = 44.0°, I = 9
- 2θ = 46.0°, I = 6
- 2θ = 53.7°, I = 17
- 2θ = 60.6°, I = 9
- 2θ = 67.1°, I = 35
- 2θ = 79.3°, I = 11
- 2θ = 85.2°, I = 4

***

The following is a computed X-ray diffraction stick pattern of MgNpRe4. It was derived from a DFT-relaxed cell (PBE, Alexandria), using Cu Kα (λ = 1.5418 Å).
Neutral-atom scattering factors, no anomalous dispersion.

Structural model:
```
data_MgNpRe4
_chemical_formula_sum 'Mg1 Np1 Re4'
_space_group_name_H-M_alt 'P 1'
_space_group_IT_number 1
_cell_length_a 5.3379
_cell_length_b 5.3379
_cell_length_c 5.3379
_cell_angle_alpha 60.00
_cell_angle_beta 60.00
_cell_angle_gamma 60.00
loop_
_space_group_symop_operation_xyz
'x,y,z'
loop_
_atom_site_label
_atom_site_type_symbol
_atom_site_fract_x
_atom_site_fract_y
_atom_site_fract_z
_atom_site_occupancy
Mg1 Mg 0.0000 0.0000 0.0000 1
Np1 Np 0.2500 0.2500 0.2500 1
Re1 Re 0.1233 0.6256 0.6256 1
Re2 Re 0.6256 0.1233 0.6256 1
Re3 Re 0.6256 0.6256 0.1233 1
Re4 Re 0.6256 0.6256 0.6256 1
```

Main lines, in order of rising 2θ (2θ = 10–90°):
- 2θ = 20.4°, I = 30
- 2θ = 23.6°, I = 13
- 2θ = 33.6°, I = 16
- 2θ = 39.6°, I = 100
- 2θ = 41.4°, I = 53
- 2θ = 48.2°, I = 10
- 2θ = 64.1°, I = 33
- 2θ = 70.6°, I = 28
- 2θ = 84.1°, I = 12
- 2θ = 85.3°, I = 21